Entry 1:
LiSn2TeS3: calculated powder diffractogram (a wavelength of 1.5418 Å), based on a crystal structure in Alexandria, relaxed with PBE.
No peak broadening, texture or thermal motion is included.

Peak list (8 most intense, 10 to 80 degrees two-theta, in order of rising 2θ)
2theta  I/Imax
13.5  16.3
13.7  46.7
15.8  19.5
26.4  37.6
31.9  100.0
45.5  33.5
46.0  37.6
57.1  18.3

Lattice parameters (Å, degrees): 7.9794 7.9794 7.9794 59.22 59.22 59.22
Element x y z (fractional)
Li  0.0894  0.0894  0.0894
Li  0.9106  0.9106  0.9106
Sn  0.0000  0.5000  0.5000
Sn  0.5000  0.0000  0.5000
Sn  0.5000  0.5000  0.0000
Sn  0.5000  0.5000  0.5000
Te  0.2386  0.2386  0.2386
Te  0.7614  0.7614  0.7614
S  0.2502  0.2502  0.7193
S  0.2502  0.7193  0.2502
S  0.2807  0.7498  0.7498
S  0.7193  0.2502  0.2502
S  0.7498  0.2807  0.7498
S  0.7498  0.7498  0.2807


Entry 2:
AsRuRh2: calculated powder diffractogram (a wavelength of 1.5418 Å), based on a crystal structure in Alexandria, relaxed with PBE.
No peak broadening, texture or thermal motion is included.

Peak list (8 most intense, 10 to 80 degrees two-theta, in order of rising 2θ)
2theta  I/Imax
23.3  0.7
25.8  1.5
32.7  0.6
40.5  100.0
46.9  32.6
47.6  15.6
68.6  10.2
69.1  20.0

Lattice parameters (Å, degrees): 4.6993 4.6993 4.6993 131.36 131.36 71.24
Element x y z (fractional)
As  0.0000  0.0000  0.0000
Ru  0.5000  0.5000  0.0000
Rh  0.2500  0.7500  0.5000
Rh  0.7500  0.2500  0.5000


Entry 3:
Pr2Nd9Er: calculated powder diffractogram (a wavelength of 1.5418 Å), based on a crystal structure in Alexandria, relaxed with PBE.
No peak broadening, texture or thermal motion is included.

Peak list (6 most intense, 10 to 80 degrees two-theta, in order of rising 2θ)
2theta  I/Imax
29.8  100.0
34.6  50.7
49.7  36.3
59.0  43.2
61.9  12.5
72.9  5.7

Lattice parameters (Å, degrees): 5.1912 5.1912 15.5683 90.00 90.00 90.00
Element x y z (fractional)
Pr  0.0000  0.0000  0.1683
Pr  0.0000  0.0000  0.8317
Nd  0.0000  0.5000  0.0000
Nd  0.0000  0.5000  0.3360
Nd  0.0000  0.5000  0.6640
Nd  0.5000  0.0000  0.0000
Nd  0.5000  0.0000  0.3360
Nd  0.5000  0.0000  0.6640
Nd  0.5000  0.5000  0.1681
Nd  0.5000  0.5000  0.5000
Nd  0.5000  0.5000  0.8319
Er  0.0000  0.0000  0.5000


Entry 4:
Ba3Cd2Hg4Bi2: calculated powder diffractogram (a wavelength of 1.5418 Å), based on a crystal structure in Alexandria, relaxed with PBE.
No peak broadening, texture or thermal motion is included.

Peak list (8 most intense, 10 to 80 degrees two-theta, in order of rising 2θ)
2theta  I/Imax
12.2  33.6
27.7  59.8
31.0  100.0
32.9  27.5
35.2  41.1
35.4  81.6
50.9  30.3
60.8  30.4

Lattice parameters (Å, degrees): 14.9355 14.9355 14.9355 160.44 160.44 27.80
Element x y z (fractional)
Ba  0.0000  0.0000  0.0000
Ba  0.1950  0.1950  0.0000
Ba  0.8050  0.8050  0.0000
Cd  0.4507  0.4507  0.0000
Cd  0.5493  0.5493  0.0000
Hg  0.1002  0.6002  0.5000
Hg  0.3998  0.8998  0.5000
Hg  0.6002  0.1002  0.5000
Hg  0.8998  0.3998  0.5000
Bi  0.3219  0.3219  0.0000
Bi  0.6781  0.6781  0.0000


Entry 5:
GaH2S8: calculated powder diffractogram (a wavelength of 1.5418 Å), based on a crystal structure in Alexandria, relaxed with PBE.
No peak broadening, texture or thermal motion is included.

Peak list (8 most intense, 10 to 80 degrees two-theta, in order of rising 2θ)
2theta  I/Imax
13.3  65.6
19.1  100.0
19.3  94.7
26.9  28.4
27.1  68.1
27.6  46.6
33.7  31.9
38.4  29.7

Lattice parameters (Å, degrees): 4.0288 5.0746 13.3526 88.01 84.15 76.50
Element x y z (fractional)
Ga  0.0000  0.0000  0.0000
H  0.4901  0.5256  0.3537
H  0.5099  0.4744  0.6463
S  0.0523  0.3648  0.4365
S  0.2014  0.4020  0.6708
S  0.2893  0.9384  0.1475
S  0.4608  0.2624  0.0840
S  0.5392  0.7376  0.9160
S  0.7107  0.0616  0.8525
S  0.7986  0.5980  0.3292
S  0.9477  0.6352  0.5635


Entry 6:
Cs3TaI6: calculated powder diffractogram (a wavelength of 1.5418 Å), based on a crystal structure in Alexandria, relaxed with PBE.
No peak broadening, texture or thermal motion is included.

Peak list (8 most intense, 10 to 80 degrees two-theta, in order of rising 2θ)
2theta  I/Imax
11.9  20.9
13.7  33.1
19.5  36.6
23.9  52.7
27.7  100.0
39.5  68.3
49.0  21.8
64.7  23.7

Lattice parameters (Å, degrees): 9.1146 9.1146 9.1146 60.00 60.00 60.00
Element x y z (fractional)
Cs  0.0000  0.0000  0.0000
Cs  0.2500  0.2500  0.2500
Cs  0.7500  0.7500  0.7500
Ta  0.5000  0.5000  0.5000
I  0.2797  0.2797  0.7203
I  0.2797  0.7203  0.2797
I  0.2797  0.7203  0.7203
I  0.7203  0.2797  0.2797
I  0.7203  0.2797  0.7203
I  0.7203  0.7203  0.2797


Entry 7:
PmVP: calculated powder diffractogram (a wavelength of 1.5418 Å), based on a crystal structure in Alexandria, relaxed with PBE.
No peak broadening, texture or thermal motion is included.

Peak list (8 most intense, 10 to 80 degrees two-theta, in order of rising 2θ)
2theta  I/Imax
28.4  81.7
32.6  75.5
32.8  69.2
34.0  68.6
35.2  63.5
35.3  100.0
36.5  79.6
41.9  63.9

Lattice parameters (Å, degrees): 6.3831 5.5066 7.0285 90.00 109.98 90.00
Element x y z (fractional)
Pm  0.1649  0.1322  0.3730
Pm  0.1649  0.3678  0.8730
Pm  0.8351  0.6322  0.1270
Pm  0.8351  0.8678  0.6270
V  0.4363  0.6097  0.3094
V  0.4363  0.8903  0.8094
V  0.5637  0.1097  0.1906
V  0.5637  0.3903  0.6906
P  0.2344  0.6337  0.5339
P  0.2344  0.8663  0.0339
P  0.7656  0.1337  0.9661
P  0.7656  0.3663  0.4661


Entry 8:
Tb9Sm11Ho4: calculated powder diffractogram (a wavelength of 1.5418 Å), based on a crystal structure in Alexandria, relaxed with PBE.
No peak broadening, texture or thermal motion is included.

Peak list (8 most intense, 10 to 80 degrees two-theta, in order of rising 2θ)
2theta  I/Imax
29.7  100.0
30.1  30.1
31.0  31.0
31.9  25.9
32.3  84.2
32.4  84.9
49.9  22.6
59.2  28.6

Lattice parameters (Å, degrees): 15.3493 15.3493 3.6521 90.00 90.00 113.13
Element x y z (fractional)
Tb  0.0000  0.0000  0.0000
Tb  0.1304  0.6652  0.0000
Tb  0.2862  0.4323  0.0000
Tb  0.3348  0.8696  0.0000
Tb  0.4323  0.2862  0.0000
Tb  0.5677  0.7138  0.0000
Tb  0.6652  0.1304  0.0000
Tb  0.7138  0.5677  0.0000
Tb  0.8696  0.3348  0.0000
Sm  0.0946  0.4567  0.5000
Sm  0.1315  0.8685  0.5000
Sm  0.2079  0.2079  0.5000
Sm  0.3393  0.6607  0.5000
Sm  0.4567  0.0946  0.5000
Sm  0.5000  0.5000  0.5000
Sm  0.5433  0.9054  0.5000
Sm  0.6607  0.3393  0.5000
Sm  0.7921  0.7921  0.5000
Sm  0.8685  0.1315  0.5000
Sm  0.9054  0.5433  0.5000
Ho  0.0553  0.2585  0.0000
Ho  0.2585  0.0553  0.0000
Ho  0.7415  0.9447  0.0000
Ho  0.9447  0.7415  0.0000


Entry 9:
PmPr5Mg6: calculated powder diffractogram (a wavelength of 1.5418 Å), based on a crystal structure in Alexandria, relaxed with PBE.
No peak broadening, texture or thermal motion is included.

Peak list (8 most intense, 10 to 80 degrees two-theta, in order of rising 2θ)
2theta  I/Imax
22.8  58.3
32.4  100.0
40.0  18.1
46.5  12.1
52.4  16.6
57.7  12.7
57.8  25.2
77.3  10.6

Lattice parameters (Å, degrees): 8.7283 8.7283 7.8360 90.00 90.00 143.15
Element x y z (fractional)
Pm  0.0000  0.0000  0.0000
Pr  0.0000  0.0000  0.5000
Pr  0.3328  0.6672  0.5000
Pr  0.3339  0.6661  0.0000
Pr  0.6661  0.3339  0.0000
Pr  0.6672  0.3328  0.5000
Mg  0.1661  0.8339  0.2484
Mg  0.1661  0.8339  0.7516
Mg  0.5000  0.5000  0.2486
Mg  0.5000  0.5000  0.7514
Mg  0.8339  0.1661  0.2484
Mg  0.8339  0.1661  0.7516


Entry 10:
KCd3: calculated powder diffractogram (a wavelength of 1.5418 Å), based on a crystal structure in Alexandria, relaxed with PBE.
No peak broadening, texture or thermal motion is included.

Peak list (8 most intense, 10 to 80 degrees two-theta, in order of rising 2θ)
2theta  I/Imax
18.6  16.3
31.6  100.0
32.5  24.8
37.3  12.8
39.9  14.0
50.4  10.5
52.4  12.2
57.5  16.9

Lattice parameters (Å, degrees): 5.9901 5.9901 5.9901 135.65 125.30 72.97
Element x y z (fractional)
K  0.0000  0.0000  0.0000
Cd  0.2765  0.7765  0.5000
Cd  0.5000  0.5000  0.0000
Cd  0.7235  0.2235  0.5000


Entry 11:
Nb12Sn3Ge: calculated powder diffractogram (a wavelength of 1.5418 Å), based on a crystal structure in Alexandria, relaxed with PBE.
No peak broadening, texture or thermal motion is included.

Peak list (8 most intense, 10 to 80 degrees two-theta, in order of rising 2θ)
2theta  I/Imax
33.8  40.2
34.0  19.4
37.9  100.0
38.1  49.5
41.7  89.5
41.9  43.8
65.9  33.5
66.1  24.2

Lattice parameters (Å, degrees): 5.3023 5.3104 10.5556 90.00 90.00 90.00
Element x y z (fractional)
Nb  0.0000  0.0000  0.1216
Nb  0.0000  0.0000  0.3739
Nb  0.0000  0.0000  0.6261
Nb  0.0000  0.0000  0.8784
Nb  0.2501  0.5000  0.5000
Nb  0.2582  0.5000  0.0000
Nb  0.5000  0.2475  0.2422
Nb  0.5000  0.2475  0.7578
Nb  0.5000  0.7525  0.2422
Nb  0.5000  0.7525  0.7578
Nb  0.7418  0.5000  0.0000
Nb  0.7499  0.5000  0.5000
Sn  0.0000  0.5000  0.2500
Sn  0.0000  0.5000  0.7500
Sn  0.5000  0.0000  0.5000
Ge  0.5000  0.0000  0.0000


Entry 12:
Ti7Bi2Mo2: calculated powder diffractogram (a wavelength of 1.5418 Å), based on a crystal structure in Alexandria, relaxed with PBE.
No peak broadening, texture or thermal motion is included.

Peak list (8 most intense, 10 to 80 degrees two-theta, in order of rising 2θ)
2theta  I/Imax
12.6  66.8
24.2  80.2
26.6  52.6
37.9  100.0
38.0  96.1
38.5  51.9
39.7  71.6
40.4  75.8

Lattice parameters (Å, degrees): 5.4951 5.4951 7.3277 100.34 100.34 103.48
Element x y z (fractional)
Ti  0.0000  0.0000  0.0000
Ti  0.1127  0.4796  0.8393
Ti  0.1324  0.1324  0.4018
Ti  0.4796  0.1127  0.8393
Ti  0.5204  0.8873  0.1607
Ti  0.8676  0.8676  0.5982
Ti  0.8873  0.5204  0.1607
Bi  0.2999  0.7001  0.5000
Bi  0.7001  0.2999  0.5000
Mo  0.3830  0.3830  0.1524
Mo  0.6170  0.6170  0.8476